No. 1
La2B7Rh12: computed powder XRD pattern (Cu Kα X-rays), based on a PBE-relaxed structure.
Neutral-atom scattering factors, no anomalous dispersion.

Structure:
abc: 9.058 9.058 3.879
angles: 90.00 90.00 120.00
Element x y z (fractional)
La: 0.000 0.000 0.000
La: 0.333 0.667 0.500
B: 0.084 0.424 0.000
B: 0.285 0.245 0.500
B: 0.340 0.916 0.000
B: 0.576 0.660 0.000
B: 0.667 0.333 0.000
B: 0.755 0.040 0.500
B: 0.960 0.715 0.500
Rh: 0.064 0.287 0.500
Rh: 0.091 0.687 0.000
Rh: 0.223 0.936 0.500
Rh: 0.313 0.404 0.000
Rh: 0.401 0.170 0.000
Rh: 0.542 0.419 0.500
Rh: 0.581 0.123 0.500
Rh: 0.596 0.909 0.000
Rh: 0.713 0.777 0.500
Rh: 0.769 0.599 0.000
Rh: 0.830 0.231 0.000
Rh: 0.877 0.458 0.500

Main lines, by angle (10° ≤ 2θ ≤ 80°):
Position (°2θ)  d_spacing  I_rel
30.14  2.965  25.6
30.34  2.946  9.4
38.21  2.356  100.0
41.51  2.176  8.1
46.84  1.940  17.4
47.94  1.898  8.2
53.54  1.712  13.1
56.72  1.623  8.6
67.66  1.385  8.4
73.84  1.283  9.9

---

No. 2
La3B2Rh7: computed powder XRD pattern (Cu Kα X-rays), based on a PBE-relaxed structure.
Neutral-atom scattering factors, no anomalous dispersion.

Structure:
abc: 11.741 11.741 11.741
angles: 158.95 158.95 29.94
Element x y z (fractional)
La: 0.000 0.000 0.000
La: 0.193 0.193 0.000
La: 0.807 0.807 0.000
B: 0.407 0.407 0.000
B: 0.593 0.593 0.000
Rh: 0.097 0.597 0.500
Rh: 0.316 0.316 0.000
Rh: 0.403 0.903 0.500
Rh: 0.500 0.500 0.000
Rh: 0.597 0.097 0.500
Rh: 0.684 0.684 0.000
Rh: 0.903 0.403 0.500

Main lines, by angle (10° ≤ 2θ ≤ 80°):
Position (°2θ)  d_spacing  I_rel
30.51  2.930  13.2
33.51  2.674  57.0
38.04  2.366  100.0
39.73  2.269  28.6
42.14  2.144  61.4
59.30  1.558  34.7
61.12  1.516  20.0
73.77  1.284  18.6
74.30  1.277  27.3
75.40  1.261  16.9

---

No. 3
LaB2Rh6: computed powder XRD pattern (Cu Kα X-rays), based on a PBE-relaxed structure.
Neutral-atom scattering factors, no anomalous dispersion.

Structure:
abc: 7.501 7.501 7.501
angles: 60.00 60.00 60.00
Element x y z (fractional)
La: 0.125 0.125 0.125
La: 0.875 0.875 0.875
B: 0.000 0.500 0.500
B: 0.500 0.000 0.500
B: 0.500 0.500 0.000
B: 0.500 0.500 0.500
Rh: 0.170 0.170 0.580
Rh: 0.170 0.580 0.170
Rh: 0.170 0.580 0.580
Rh: 0.420 0.420 0.830
Rh: 0.420 0.830 0.420
Rh: 0.420 0.830 0.830
Rh: 0.580 0.170 0.170
Rh: 0.580 0.170 0.580
Rh: 0.580 0.580 0.170
Rh: 0.830 0.420 0.420
Rh: 0.830 0.420 0.830
Rh: 0.830 0.830 0.420

Main lines, by angle (10° ≤ 2θ ≤ 80°):
Position (°2θ)  d_spacing  I_rel
27.90  3.198  29.6
33.80  2.652  100.0
36.94  2.434  56.7
44.37  2.041  36.7
48.55  1.875  52.5
60.47  1.531  9.6
62.53  1.485  13.2
67.87  1.381  25.4
73.01  1.296  20.7
76.15  1.250  18.1